1.
Starting from a structure optimized by DFT (PBE), the PXRD pattern of Sb3C4 was simulated for copper Kα.
No peak broadening, texture or thermal motion is included.

Atomic structure:
```
Sb3C4
1.0
4.9185 0.0000 0.0000
0.0000 4.9185 0.0000
0.0000 0.0000 4.9185
Sb C
3 4
Cartesian
0.0000 0.0000 2.4593
0.0000 2.4593 0.0000
2.4593 0.0000 0.0000
1.2688 1.2688 1.2688
1.2688 3.6497 3.6497
3.6497 1.2688 3.6497
3.6497 3.6497 1.2688
```

Top 10 peaks for 10° ≤ 2θ ≤ 80°, in order of rising 2θ:
2theta	d [Å]	I_rel	index
18.04	4.919	313	1 0 0
25.61	3.478	280	1 1 0
31.50	2.840	1000	1 1 1
36.54	2.459	388	2 0 0
41.03	2.200	164	2 1 0
45.15	2.008	120	2 1 1
52.63	1.739	408	2 2 0
56.10	1.640	77	3 0 0
62.64	1.483	402	3 1 1
65.77	1.420	96	2 2 2

=====

2.
Starting from a structure optimized by DFT (PBE), the PXRD pattern of SbC was simulated for copper Kα.
No peak broadening, texture or thermal motion is included.

Atomic structure:
```
SbC
1.0
4.1634 0.0000 0.0000
0.0028 4.5753 0.0000
2.0496 1.0996 5.4088
Sb C
2 2
Cartesian
1.0260 1.5378 1.6344
5.1898 4.1371 3.7744
2.4438 2.8374 2.7044
3.7719 2.8375 2.7044
```

Top 10 peaks for 10° ≤ 2θ ≤ 80°, in order of rising 2θ:
2theta	d [Å]	I_rel	index
16.39	5.409	356	0 0 1
22.89	3.886	1000	1 0 0
23.11	3.849	563	0 1 1
28.27	3.157	583	0 1 -1
29.32	3.046	295	1 1 1
33.12	2.704	167	0 0 2
35.82	2.507	288	-1 1 1
35.96	2.498	283	1 1 2
45.23	2.005	249	1 -2 0
47.23	1.925	204	1 0 -2

=====

3.
Starting from a structure optimized by DFT (PBE), the PXRD pattern of SbC was simulated for copper Kα.
No peak broadening, texture or thermal motion is included.

Atomic structure:
```
SbC
1.0
4.7187 0.0000 0.0000
0.0000 4.1639 0.0000
-0.7640 0.0000 5.2359
Sb C
2 2
Cartesian
0.9363 0.0000 1.5732
3.0183 0.0000 3.6627
-0.3820 1.4165 2.6180
-0.3820 2.7474 2.6180
```

Top 10 peaks for 10° ≤ 2θ ≤ 80°, in order of rising 2θ:
2theta	d [Å]	I_rel	index
16.93	5.236	342	0 0 1
21.34	4.164	1000	0 1 0
23.63	3.765	622	1 0 -1
27.37	3.259	753	1 0 1
32.05	2.793	791	1 1 -1
34.96	2.566	523	1 1 1
38.56	2.335	202	2 0 0
40.71	2.216	299	0 1 2
44.49	2.036	347	2 1 0
50.06	1.822	237	1 2 -1

=====

> What is the formula in the second record?

SbC